Diffraction record for BaNiIrO6. The XRD peak list is simulated, not measured: it uses a DFT-relaxed cell (GGA+U, Alexandria) and Cu Kα (λ = 1.5418 Å).
Neutral-atom scattering factors, no anomalous dispersion.

Principal peaks in the range 2θ = 5–70°, by angle:
15.7°, I = 159, (0 0 1); 19.4°, I = 143, (1 0 0); 25.0°, I = 1000, (1 0 1); 31.6°, I = 106, (0 0 2); 33.9°, I = 323, (1 1 0); 42.6°, I = 208, (2 0 1); 47.0°, I = 385, (2 -1 2); 52.4°, I = 113, (1 0 3); 55.5°, I = 215, (3 -1 1); 60.6°, I = 98, (3 0 0)

Cell and atoms:
a b c (Å): 5.2923 5.2923 5.6597
angles (deg): 90.00 90.00 120.00
Space group P312 (No. 149)
Unique sites:
Ba: 0.0000 0.0000 0.0000 (multiplicity 1)
Ni: 0.3333 0.6667 0.5000 (multiplicity 1)
Ir: 0.6667 0.3333 0.5000 (multiplicity 1)
O: 0.3988 0.0179 0.6918 (multiplicity 6)